No. 1
Theoretical X-ray diffraction stick pattern of CsNbTeAuSe2 for Cu Kα, from a PBE-relaxed structure.
Neutral-atom scattering factors, no anomalous dispersion.

Crystal structure
Lattice parameters (Å, degrees): 8.885 8.885 10.596 90.00 90.00 155.12
Sites, in units of the cell vectors:
Cs 0.230 0.770 0.750
Cs 0.770 0.230 0.250
Nb 0.000 0.000 0.000
Nb 0.000 0.000 0.500
Te 0.076 0.924 0.250
Te 0.924 0.076 0.750
Au 0.458 0.542 0.250
Au 0.542 0.458 0.750
Se 0.393 0.607 0.035
Se 0.393 0.607 0.465
Se 0.607 0.393 0.535
Se 0.607 0.393 0.965

Most intense lines, 2θ = 15–90°, sorted by position:
2θ/deg	d (Å)	I (rel.)
16.7	5.298	23.0
29.2	3.057	100.0
32.8	2.734	46.2
33.8	2.649	40.8
35.4	2.536	17.8
38.0	2.368	24.5
38.9	2.313	24.3
47.5	1.914	18.6
51.8	1.766	33.3
59.6	1.552	15.8

No. 2
Theoretical X-ray diffraction stick pattern of TbY2Sn5Pb2 for Cu Kα, from a PBE-relaxed structure.
Neutral-atom scattering factors, no anomalous dispersion.

Crystal structure
Lattice parameters (Å, degrees): 13.526 13.526 4.491 90.00 90.00 160.91
Sites, in units of the cell vectors:
Tb 0.000 0.000 0.000
Y 0.309 0.691 0.500
Y 0.691 0.309 0.500
Sn 0.212 0.788 0.000
Sn 0.404 0.596 0.000
Sn 0.500 0.500 0.500
Sn 0.596 0.404 0.000
Sn 0.788 0.212 0.000
Pb 0.097 0.903 0.500
Pb 0.903 0.097 0.500

Most intense lines, 2θ = 15–90°, sorted by position:
2θ/deg	d (Å)	I (rel.)
23.9	3.725	5.1
32.8	2.728	100.0
33.6	2.668	20.8
40.2	2.244	30.2
53.3	1.717	23.0
58.1	1.587	10.4
59.6	1.552	13.4
68.4	1.372	24.9
68.8	1.364	10.8
88.0	1.109	9.8

No. 3
Theoretical X-ray diffraction stick pattern of AlZn4GaPd2 for Cu Kα, from a PBE-relaxed structure.
Neutral-atom scattering factors, no anomalous dispersion.

Crystal structure
Lattice parameters (Å, degrees): 4.280 4.280 8.012 90.00 90.00 120.00
Sites, in units of the cell vectors:
Al 0.000 0.000 0.000
Zn 0.333 0.667 0.326
Zn 0.333 0.667 0.674
Zn 0.667 0.333 0.171
Zn 0.667 0.333 0.829
Ga 0.000 0.000 0.500
Pd 0.333 0.667 0.000
Pd 0.667 0.333 0.500

Most intense lines, 2θ = 15–90°, sorted by position:
2θ/deg	d (Å)	I (rel.)
22.2	4.006	11.6
24.0	3.707	26.0
26.5	3.364	13.3
41.7	2.167	100.0
42.2	2.140	92.0
48.2	1.888	8.4
60.8	1.523	31.3
76.8	1.241	30.6
77.2	1.236	14.5
85.8	1.133	21.6

No. 4
Theoretical X-ray diffraction stick pattern of Na2IrO2 for Cu Kα, from a PBE-relaxed structure.
Neutral-atom scattering factors, no anomalous dispersion.

Crystal structure
Lattice parameters (Å, degrees): 5.217 5.217 8.516 90.00 90.00 144.47
Sites, in units of the cell vectors:
Na 0.104 0.896 0.500
Na 0.355 0.645 0.682
Na 0.645 0.355 0.182
Na 0.896 0.104 0.000
Ir 0.377 0.623 0.341
Ir 0.623 0.377 0.841
O 0.020 0.980 0.756
O 0.224 0.776 0.929
O 0.776 0.224 0.429
O 0.980 0.020 0.256

Most intense lines, 2θ = 15–90°, sorted by position:
2θ/deg	d (Å)	I (rel.)
20.7	4.292	100.0
20.9	4.258	57.3
29.5	3.032	17.5
31.3	2.856	32.5
36.2	2.484	17.5
36.4	2.467	73.2
40.7	2.216	29.8
43.7	2.072	19.0
44.9	2.020	17.0
62.2	1.492	16.3

No. 5
Theoretical X-ray diffraction stick pattern of CuAg for Cu Kα, from a PBE-relaxed structure.
Neutral-atom scattering factors, no anomalous dispersion.

Crystal structure
Lattice parameters (Å, degrees): 4.846 4.846 11.537 98.76 98.76 33.99
Sites, in units of the cell vectors:
Cu 0.000 0.000 0.000
Cu 0.104 0.104 0.679
Cu 0.197 0.197 0.396
Cu 0.514 0.514 0.489
Cu 0.892 0.892 0.318
Ag 0.301 0.301 0.105
Ag 0.409 0.409 0.792
Ag 0.590 0.590 0.209
Ag 0.698 0.698 0.893
Ag 0.808 0.808 0.582

Most intense lines, 2θ = 15–90°, sorted by position:
2θ/deg	d (Å)	I (rel.)
39.9	2.261	34.5
40.0	2.253	100.0
45.3	2.004	49.0
48.9	1.861	15.3
65.9	1.417	14.7
68.7	1.366	10.7
69.0	1.361	9.7
79.8	1.202	8.1
79.9	1.200	8.2
80.1	1.199	15.0

No. 6
Theoretical X-ray diffraction stick pattern of SmCd for Cu Kα, from a PBE-relaxed structure.
Neutral-atom scattering factors, no anomalous dispersion.

Crystal structure
Lattice parameters (Å, degrees): 3.793 3.793 3.793 90.00 90.00 90.00
Sites, in units of the cell vectors:
Sm 0.000 0.000 0.000
Cd 0.500 0.500 0.500

Most intense lines, 2θ = 15–90°, sorted by position:
2θ/deg	d (Å)	I (rel.)
23.5	3.793	2.0
33.4	2.682	100.0
41.2	2.190	0.7
48.0	1.897	17.9
54.1	1.696	1.0
59.7	1.549	36.7
70.2	1.341	11.2
75.1	1.264	0.5
80.0	1.200	15.7
89.5	1.095	4.1